Computed powder diffractogram
Compound: K3Ag2F7
Radiation: a wavelength of 1.5418 Å
Structure: a structure optimized by DFT (GGA-PBE)
Lines closer than 0.1° are merged.

Most intense lines, 10° ≤ 2θ ≤ 90°, in order of rising 2θ:
2θ 16.80, 5.279 Å, rel. 41
2θ 21.03, 4.224 Å, rel. 58
2θ 29.09, 3.070 Å, rel. 39
2θ 29.51, 3.027 Å, rel. 38
2θ 29.61, 3.017 Å, rel. 100
2θ 41.91, 2.155 Å, rel. 55
2θ 42.83, 2.112 Å, rel. 24
2θ 43.94, 2.061 Å, rel. 22
2θ 51.90, 1.762 Å, rel. 23
2θ 61.47, 1.508 Å, rel. 27

```
K3Ag2F7
1.0
3.0695 -10.5576 0.0000
3.0695 10.5576 0.0000
0.0000 0.0000 6.0547
K Ag F
6 4 14
Direct
0.0672 0.9328 0.7500 K
0.2500 0.7500 0.7500 K
0.4328 0.5672 0.7500 K
0.5672 0.4328 0.2500 K
0.7500 0.2500 0.2500 K
0.9328 0.0672 0.2500 K
0.1498 0.8502 0.2500 Ag
0.3502 0.6498 0.2500 Ag
0.6498 0.3502 0.7500 Ag
0.8502 0.1498 0.7500 Ag
0.0480 0.9520 0.2500 F
0.0652 0.3746 0.0303 F
0.1254 0.4348 0.5303 F
0.2500 0.7500 0.2500 F
0.3746 0.0652 0.5303 F
0.4348 0.1254 0.0303 F
0.4520 0.5480 0.2500 F
0.5480 0.4520 0.7500 F
0.5652 0.8746 0.9697 F
0.6254 0.9348 0.4697 F
0.7500 0.2500 0.7500 F
0.8746 0.5652 0.4697 F
0.9348 0.6254 0.9697 F
0.9520 0.0480 0.7500 F
```